Record 1
For TbTmRh2, DFT lattice parameters and positions (GGA-PBE) gives the calculated powder X-ray diffraction pattern in this record (Cu Ka).
Kinematic intensities with the Lorentz-polarization factor, no thermal factor.

Crystal structure
```
data_TbTmRh2
_chemical_formula_sum 'Tb4 Tm4 Rh8'
_space_group_name_H-M_alt 'F m -3 m'
_space_group_IT_number 225
_space_group_name_Hall '-F 4 2 3'
_cell_length_a 6.833
_cell_length_b 6.833
_cell_length_c 6.833
_cell_angle_alpha 90.00
_cell_angle_beta 90.00
_cell_angle_gamma 90.00
loop_
_atom_site_label
_atom_site_fract_x
_atom_site_fract_y
_atom_site_fract_z
Tb1 0.000 0.000 0.000
Tm1 0.000 0.000 0.500
Rh1 0.250 0.250 0.250
```

Most intense lines, 10 to 90 degrees two-theta, low angle first:
- (2 0 0), 2θ = 26.08°, rel. 5
- (2 2 0), 2θ = 37.22°, rel. 100
- (4 0 0), 2θ = 53.65°, rel. 17
- (4 2 0), 2θ = 60.61°, rel. 2
- (4 2 2), 2θ = 67.11°, rel. 35
- (4 4 0), 2θ = 79.32°, rel. 11

---

Record 2
For Mg6NbBiO8, DFT lattice parameters and positions (GGA-PBE) gives the calculated powder X-ray diffraction pattern in this record (Cu Ka).
Kinematic intensities with the Lorentz-polarization factor, no thermal factor.

Crystal structure
```
data_Mg6NbBiO8
_chemical_formula_sum 'Mg6 Nb1 Bi1 O8'
_space_group_name_H-M_alt 'P 4/m m m'
_space_group_IT_number 123
_space_group_name_Hall '-P 4 2'
_cell_length_a 4.588
_cell_length_b 4.588
_cell_length_c 8.898
_cell_angle_alpha 90.00
_cell_angle_beta 90.00
_cell_angle_gamma 90.00
loop_
_atom_site_label
_atom_site_fract_x
_atom_site_fract_y
_atom_site_fract_z
Mg1 0.000 0.000 0.000
Mg2 0.000 0.500 0.233
Mg3 0.500 0.500 0.000
Nb1 0.000 0.000 0.500
Bi1 0.500 0.500 0.500
O1 0.000 0.000 0.235
O2 0.000 0.500 0.000
O3 0.000 0.500 0.500
O4 0.500 0.500 0.225
```

Most intense lines, 10 to 90 degrees two-theta, low angle first:
- (0 0 2), 2θ = 19.96°, rel. 52
- (1 1 1), 2θ = 29.30°, rel. 81
- (1 1 2), 2θ = 34.21°, rel. 89
- (2 0 0), 2θ = 39.28°, rel. 100
- (0 0 4), 2θ = 40.58°, rel. 72
- (2 0 4), 2θ = 57.74°, rel. 67

---

Record 3
For TbAl3Ag, DFT lattice parameters and positions (GGA-PBE) gives the calculated powder X-ray diffraction pattern in this record (Cu Ka).
Kinematic intensities with the Lorentz-polarization factor, no thermal factor.

Crystal structure
```
data_TbAl3Ag
_chemical_formula_sum 'Tb2 Al6 Ag2'
_space_group_name_H-M_alt 'I m m 2'
_space_group_IT_number 44
_cell_length_a 4.185
_cell_length_b 4.192
_cell_length_c 11.310
_cell_angle_alpha 90.00
_cell_angle_beta 90.00
_cell_angle_gamma 90.00
loop_
_space_group_symop_operation_xyz
'x,y,z'
'-x,-y,z'
'-x,y,z'
'x,-y,z'
'x+1/2,y+1/2,z+1/2'
'-x+1/2,-y+1/2,z+1/2'
'-x+1/2,y+1/2,z+1/2'
'x+1/2,-y+1/2,z+1/2'
loop_
_atom_site_label
_atom_site_fract_x
_atom_site_fract_y
_atom_site_fract_z
Tb1 0.000 0.000 0.000
Al1 0.000 0.000 0.390
Al2 0.000 0.000 0.610
Al3 0.000 0.500 0.749
Ag1 0.000 0.500 0.250
```

Most intense lines, 10 to 90 degrees two-theta, low angle first:
- (0 1 1), 2θ = 22.64°, rel. 61
- (1 0 3), 2θ = 31.94°, rel. 52
- (1 1 2), 2θ = 34.18°, rel. 100
- (2 0 0), 2θ = 43.20°, rel. 34
- (0 1 5), 2θ = 45.58°, rel. 24
- (1 2 3), 2θ = 54.72°, rel. 22

---

Record 4
For TlPO4, DFT lattice parameters and positions (GGA-PBE) gives the calculated powder X-ray diffraction pattern in this record (Cu Ka).
Kinematic intensities with the Lorentz-polarization factor, no thermal factor.

Crystal structure
```
data_TlPO4
_chemical_formula_sum 'Tl4 P4 O16'
_space_group_name_H-M_alt 'C m c m'
_space_group_IT_number 63
_space_group_name_Hall '-C 2c 2'
_cell_length_a 5.499
_cell_length_b 8.270
_cell_length_c 7.260
_cell_angle_alpha 90.00
_cell_angle_beta 90.00
_cell_angle_gamma 90.00
loop_
_atom_site_label
_atom_site_fract_x
_atom_site_fract_y
_atom_site_fract_z
Tl1 0.000 0.000 0.000
P1 0.000 0.350 0.250
O1 0.000 0.255 0.068
O2 0.233 0.462 0.250
```

Most intense lines, 10 to 90 degrees two-theta, low angle first:
- (1 1 0), 2θ = 19.39°, rel. 100
- (0 2 0), 2θ = 21.49°, rel. 44
- (1 1 2), 2θ = 31.45°, rel. 99
- (2 0 0), 2θ = 32.57°, rel. 25
- (1 3 0), 2θ = 36.46°, rel. 36
- (2 2 2), 2θ = 46.92°, rel. 31

---

Record 5
For Ba11Ta6S26, DFT lattice parameters and positions (GGA-PBE) gives the calculated powder X-ray diffraction pattern in this record (Cu Ka).
Kinematic intensities with the Lorentz-polarization factor, no thermal factor.

Crystal structure
```
data_Ba11Ta6S26
_chemical_formula_sum 'Ba11 Ta6 S26'
_space_group_name_H-M_alt 'P 1'
_space_group_IT_number 1
_cell_length_a 6.918
_cell_length_b 12.085
_cell_length_c 14.530
_cell_angle_alpha 81.86
_cell_angle_beta 76.27
_cell_angle_gamma 89.56
loop_
_space_group_symop_operation_xyz
'x,y,z'
loop_
_atom_site_label
_atom_site_fract_x
_atom_site_fract_y
_atom_site_fract_z
Ba1 0.000 0.000 0.000
Ba2 0.043 0.367 0.790
Ba3 0.130 0.734 0.607
Ba4 0.235 0.433 0.390
Ba5 0.324 0.796 0.207
Ba6 0.447 0.461 0.001
Ba7 0.531 0.868 0.790
Ba8 0.628 0.226 0.609
Ba9 0.737 0.936 0.390
Ba10 0.835 0.300 0.209
Ba11 0.954 0.658 0.995
Ta1 0.059 0.044 0.734
Ta2 0.179 0.085 0.498
Ta3 0.315 0.116 0.264
Ta4 0.574 0.543 0.730
Ta5 0.679 0.583 0.498
Ta6 0.799 0.621 0.265
S1 0.015 0.863 0.817
S2 0.079 0.049 0.194
S3 0.096 0.550 0.188
S4 0.130 0.227 0.604
S5 0.241 0.938 0.393
S6 0.275 0.612 0.806
S7 0.289 0.114 0.807
S8 0.325 0.806 0.998
S9 0.337 0.303 0.198
S10 0.373 0.980 0.605
S11 0.386 0.484 0.601
S12 0.482 0.177 0.395
S13 0.490 0.682 0.392
S14 0.535 0.359 0.805
S15 0.591 0.553 0.181
S16 0.601 0.050 0.178
S17 0.633 0.727 0.603
S18 0.734 0.438 0.393
S19 0.771 0.613 0.817
S20 0.777 0.115 0.820
S21 0.833 0.801 0.179
S22 0.879 0.486 0.602
S23 0.887 0.982 0.605
S24 0.940 0.397 0.999
S25 0.978 0.682 0.391
S26 0.985 0.181 0.397
```

Most intense lines, 10 to 90 degrees two-theta, low angle first:
- (1 1 1), 2θ = 14.84°, rel. 32
- (0 2 1), 2θ = 15.28°, rel. 23
- (1 1 -2), 2θ = 22.47°, rel. 23
- (1 3 1), 2θ = 25.50°, rel. 59
- (1 -3 0), 2θ = 25.72°, rel. 100
- (2 6 2), 2θ = 52.41°, rel. 24

---

Record 6
For NdBS3, DFT lattice parameters and positions (GGA-PBE) gives the calculated powder X-ray diffraction pattern in this record (Cu Ka).
Kinematic intensities with the Lorentz-polarization factor, no thermal factor.

Crystal structure
```
data_NdBS3
_chemical_formula_sum 'Nd4 B4 S12'
_space_group_name_H-M_alt 'P n a 21'
_space_group_IT_number 33
_cell_length_a 7.573
_cell_length_b 6.072
_cell_length_c 8.927
_cell_angle_alpha 90.00
_cell_angle_beta 90.00
_cell_angle_gamma 90.00
loop_
_space_group_symop_operation_xyz
'x,y,z'
'-x,-y,z+1/2'
'-x+1/2,y+1/2,z+1/2'
'x+1/2,-y+1/2,z'
loop_
_atom_site_label
_atom_site_fract_x
_atom_site_fract_y
_atom_site_fract_z
Nd1 0.114 0.069 0.000
B1 0.148 0.601 0.831
S1 0.001 0.394 0.490
S2 0.177 0.836 0.706
S3 0.205 0.868 0.299
```

Most intense lines, 10 to 90 degrees two-theta, low angle first:
- (1 1 0), 2θ = 18.73°, rel. 75
- (0 0 2), 2θ = 19.89°, rel. 68
- (1 1 1), 2θ = 21.23°, rel. 90
- (2 0 1), 2θ = 25.55°, rel. 100
- (1 2 1), 2θ = 33.34°, rel. 85
- (1 1 3), 2θ = 35.63°, rel. 66

---

Record 7
For ZnNi4, DFT lattice parameters and positions (GGA-PBE) gives the calculated powder X-ray diffraction pattern in this record (Cu Ka).
Kinematic intensities with the Lorentz-polarization factor, no thermal factor.

Crystal structure
```
data_ZnNi4
_chemical_formula_sum 'Zn3 Ni12'
_space_group_name_H-M_alt 'R -3 m'
_space_group_IT_number 166
_space_group_name_Hall '-R 3 2"'
_cell_length_a 2.5290
_cell_length_b 2.5290
_cell_length_c 30.4583
_cell_angle_alpha 90.00
_cell_angle_beta 90.00
_cell_angle_gamma 120.00
loop_
_atom_site_label
_atom_site_fract_x
_atom_site_fract_y
_atom_site_fract_z
Zn1 0.0000 0.0000 0.0000
Ni1 0.0000 0.0000 0.1994
Ni2 0.0000 0.0000 0.4013
```

Most intense lines, 10 to 90 degrees two-theta, low angle first:
- (0 1 5), 2θ = 43.93°, rel. 100
- (0 0 15), 2θ = 44.63°, rel. 32
- (1 0 10), 2θ = 51.39°, rel. 61
- (1 1 0), 2θ = 75.13°, rel. 18
- (0 1 20), 2θ = 76.13°, rel. 17

---

Record 8
For Li2WS4, DFT lattice parameters and positions (GGA-PBE) gives the calculated powder X-ray diffraction pattern in this record (Cu Ka).
Kinematic intensities with the Lorentz-polarization factor, no thermal factor.

Crystal structure
```
data_Li2WS4
_chemical_formula_sum 'Li2 W1 S4'
_space_group_name_H-M_alt 'P -4 2 m'
_space_group_IT_number 111
_cell_length_a 6.070
_cell_length_b 6.070
_cell_length_c 5.450
_cell_angle_alpha 90.00
_cell_angle_beta 90.00
_cell_angle_gamma 90.00
loop_
_space_group_symop_operation_xyz
'x,y,z'
'y,-x,-z'
'-x,-y,z'
'-y,x,-z'
'x,-y,-z'
'y,x,z'
'-x,y,-z'
'-y,-x,z'
loop_
_atom_site_label
_atom_site_fract_x
_atom_site_fract_y
_atom_site_fract_z
Li1 0.000 0.500 0.000
W1 0.000 0.000 0.000
S1 0.213 0.213 0.230
```

Most intense lines, 10 to 90 degrees two-theta, low angle first:
- (1 0 0), 2θ = 14.59°, rel. 100
- (0 0 1), 2θ = 16.26°, rel. 38
- (1 1 0), 2θ = 20.69°, rel. 31
- (1 0 1), 2θ = 21.92°, rel. 58
- (1 1 1), 2θ = 26.43°, rel. 50
- (2 1 1), 2θ = 37.00°, rel. 31